(1)
For K5Bi4, a DFT-relaxed cell (GGA-PBE, the Materials Project) gives the simulated X-ray powder pattern in this record (λ = 1.5418 Å (Cu Kα)).
Neutral-atom scattering factors, no anomalous dispersion.

The 10 most intense peaks (2θ from 5° to 70°), low angle first:
14.11°, I = 21; 14.85°, I = 35; 17.29°, I = 100; 19.35°, I = 26; 25.60°, I = 27; 27.75°, I = 33; 30.90°, I = 96; 31.51°, I = 36; 33.88°, I = 22; 39.72°, I = 21

Structural model:
Lattice parameters (Å, degrees): 7.000 7.000 11.721 109.27 109.27 47.86
Fractional coordinates of all 9 atoms:
K 0.000 0.000 0.000
K 0.513 0.513 0.333
K 0.664 0.664 0.780
K 0.752 0.752 0.162
K 0.853 0.853 0.554
Bi 0.148 0.148 0.559
Bi 0.215 0.215 0.338
Bi 0.302 0.302 0.998
Bi 0.368 0.368 0.776

***

(2)
For K3Bi, a DFT-relaxed cell (GGA-PBE, the Materials Project) gives the simulated X-ray powder pattern in this record (λ = 1.5418 Å (Cu Kα)).
Neutral-atom scattering factors, no anomalous dispersion.

The 10 most intense peaks (2θ from 5° to 70°), low angle first:
15.98°, I = 45; 16.40°, I = 33; 18.26°, I = 100; 28.60°, I = 91; 29.27°, I = 100; 32.93°, I = 50; 34.15°, I = 23; 41.38°, I = 38; 43.67°, I = 23; 51.08°, I = 40

Structural model:
Lattice parameters (Å, degrees): 10.811 10.811 11.091 90.00 90.00 120.00
Fractional coordinates of all 24 atoms:
K 0.000 0.000 0.000
K 0.000 0.000 0.500
K 0.000 0.311 0.297
K 0.000 0.354 0.636
K 0.000 0.646 0.136
K 0.000 0.689 0.797
K 0.311 0.000 0.297
K 0.311 0.311 0.797
K 0.333 0.667 0.446
K 0.333 0.667 0.946
K 0.354 0.000 0.636
K 0.354 0.354 0.136
K 0.646 0.000 0.136
K 0.646 0.646 0.636
K 0.667 0.333 0.446
K 0.667 0.333 0.946
K 0.689 0.000 0.797
K 0.689 0.689 0.297
Bi 0.000 0.332 0.967
Bi 0.000 0.668 0.467
Bi 0.332 0.000 0.967
Bi 0.332 0.332 0.467
Bi 0.668 0.000 0.467
Bi 0.668 0.668 0.967

***

(3)
For KLaTbBiO6, a DFT-relaxed cell (GGA-PBE, the Materials Project) gives the simulated X-ray powder pattern in this record (λ = 1.5418 Å (Cu Kα)).
Neutral-atom scattering factors, no anomalous dispersion.

The 10 most intense peaks (2θ from 5° to 70°), low angle first:
14.57°, I = 11; 20.66°, I = 21; 20.94°, I = 10; 29.38°, I = 52; 29.58°, I = 100; 42.03°, I = 28; 42.62°, I = 13; 52.23°, I = 46; 52.61°, I = 23; 61.40°, I = 17

Structural model:
Lattice parameters (Å, degrees): 8.485 8.598 8.601 90.00 90.00 90.00
Fractional coordinates of all 40 atoms:
K 0.250 0.250 0.250
K 0.250 0.750 0.750
K 0.750 0.250 0.250
K 0.750 0.750 0.750
La 0.250 0.250 0.750
La 0.250 0.750 0.250
La 0.750 0.250 0.750
La 0.750 0.750 0.250
Tb 0.000 0.000 0.000
Tb 0.000 0.500 0.500
Tb 0.500 0.000 0.500
Tb 0.500 0.500 0.000
Bi 0.000 0.000 0.500
Bi 0.000 0.500 0.000
Bi 0.500 0.000 0.000
Bi 0.500 0.500 0.500
O 0.032 0.244 0.561
O 0.032 0.256 0.939
O 0.043 0.011 0.257
O 0.043 0.489 0.243
O 0.243 0.540 0.975
O 0.243 0.960 0.525
O 0.257 0.540 0.525
O 0.257 0.960 0.975
O 0.457 0.011 0.243
O 0.457 0.489 0.257
O 0.468 0.244 0.939
O 0.468 0.256 0.561
O 0.532 0.744 0.439
O 0.532 0.756 0.061
O 0.543 0.511 0.743
O 0.543 0.989 0.757
O 0.743 0.040 0.025
O 0.743 0.460 0.475
O 0.757 0.040 0.475
O 0.757 0.460 0.025
O 0.957 0.511 0.757
O 0.957 0.989 0.743
O 0.968 0.744 0.061
O 0.968 0.756 0.439

***

(4)
For KLaTbBiO6, a DFT-relaxed cell (GGA-PBE, the Materials Project) gives the simulated X-ray powder pattern in this record (λ = 1.5418 Å (Cu Kα)).
Neutral-atom scattering factors, no anomalous dispersion.

The 10 most intense peaks (2θ from 5° to 70°), low angle first:
17.86°, I = 10; 20.65°, I = 22; 29.36°, I = 100; 34.58°, I = 6; 42.00°, I = 30; 47.25°, I = 10; 52.07°, I = 42; 60.91°, I = 19; 65.04°, I = 5; 69.04°, I = 18

Structural model:
Lattice parameters (Å, degrees): 6.084 6.084 6.084 60.00 60.00 60.00
Fractional coordinates of all 10 atoms:
K 0.000 0.000 0.000
La 0.500 0.500 0.500
Tb 0.750 0.750 0.750
Bi 0.250 0.250 0.250
O 0.006 0.006 0.494
O 0.006 0.494 0.006
O 0.006 0.494 0.494
O 0.494 0.006 0.006
O 0.494 0.006 0.494
O 0.494 0.494 0.006

***

(5)
For KLaYBiO6, a DFT-relaxed cell (GGA-PBE, the Materials Project) gives the simulated X-ray powder pattern in this record (λ = 1.5418 Å (Cu Kα)).
Neutral-atom scattering factors, no anomalous dispersion.

The 10 most intense peaks (2θ from 5° to 70°), low angle first:
14.58°, I = 15; 17.97°, I = 23; 20.68°, I = 13; 29.40°, I = 52; 29.62°, I = 100; 42.06°, I = 30; 42.71°, I = 14; 52.29°, I = 46; 52.70°, I = 23; 61.50°, I = 17

Structural model:
Lattice parameters (Å, degrees): 8.468 8.592 8.592 90.00 90.00 90.00
Fractional coordinates of all 40 atoms:
K 0.250 0.250 0.250
K 0.250 0.750 0.750
K 0.750 0.250 0.250
K 0.750 0.750 0.750
La 0.250 0.250 0.750
La 0.250 0.750 0.250
La 0.750 0.250 0.750
La 0.750 0.750 0.250
Y 0.000 0.000 0.000
Y 0.000 0.500 0.500
Y 0.500 0.000 0.500
Y 0.500 0.500 0.000
Bi 0.000 0.000 0.500
Bi 0.000 0.500 0.000
Bi 0.500 0.000 0.000
Bi 0.500 0.500 0.500
O 0.032 0.244 0.559
O 0.032 0.256 0.941
O 0.042 0.010 0.257
O 0.042 0.490 0.243
O 0.244 0.539 0.975
O 0.244 0.961 0.525
O 0.256 0.539 0.525
O 0.256 0.961 0.975
O 0.458 0.010 0.243
O 0.458 0.490 0.257
O 0.468 0.244 0.941
O 0.468 0.256 0.559
O 0.532 0.744 0.441
O 0.532 0.756 0.059
O 0.542 0.509 0.743
O 0.542 0.990 0.757
O 0.744 0.039 0.025
O 0.744 0.461 0.475
O 0.756 0.039 0.475
O 0.756 0.461 0.025
O 0.958 0.509 0.757
O 0.958 0.990 0.743
O 0.968 0.744 0.059
O 0.968 0.756 0.441

***

(6)
For KLaYBiO6, a DFT-relaxed cell (GGA-PBE, the Materials Project) gives the simulated X-ray powder pattern in this record (λ = 1.5418 Å (Cu Kα)).
Neutral-atom scattering factors, no anomalous dispersion.

The 10 most intense peaks (2θ from 5° to 70°), low angle first:
17.92°, I = 25; 20.72°, I = 14; 29.46°, I = 100; 34.70°, I = 15; 42.16°, I = 31; 46.15°, I = 7; 47.42°, I = 7; 52.27°, I = 41; 61.14°, I = 20; 69.31°, I = 18

Structural model:
Lattice parameters (Å, degrees): 6.063 6.063 6.063 60.00 60.00 60.00
Fractional coordinates of all 10 atoms:
K 0.000 0.000 0.000
La 0.500 0.500 0.500
Y 0.750 0.750 0.750
Bi 0.250 0.250 0.250
O 0.006 0.006 0.494
O 0.006 0.494 0.006
O 0.006 0.494 0.494
O 0.494 0.006 0.006
O 0.494 0.006 0.494
O 0.494 0.494 0.006